1.
Theoretical powder XRD pattern
Compound: DyErTm2Sc
Radiation: copper Kα
Structure: a structure optimized by DFT (GGA-PBE)
Peak positions follow from Bragg's law for the DFT cell and can differ from measured ones.

Most intense lines, 10 to 80 degrees two-theta, low angle first:
- 27.34 deg, intensity 99, hkl 2 2 0
- 30.16 deg, intensity 100, hkl 0 2 2
- 32.34 deg, intensity 50, hkl 0 4 0
- 33.85 deg, intensity 81, hkl 2 0 2
- 37.07 deg, intensity 24, hkl 1 3 2
- 41.53 deg, intensity 23, hkl 3 3 0
- 47.52 deg, intensity 55, hkl 2 4 2
- 59.87 deg, intensity 23, hkl 2 2 4

Atomic structure:
Cell: 8.0729 11.0733 7.0161 Å, 90.00 90.00 90.00°
Space group Cmcm (No. 63)
One atom of each set of equivalent atoms:
Dy 0.0000 0.2298 0.2500
Er 0.0000 0.2294 0.7500
Tm 0.1965 0.0000 0.0000
Sc 0.0000 0.4994 0.2500

=====

2.
Theoretical powder XRD pattern
Compound: DyEr2Tm2Sc
Radiation: copper Kα
Structure: a structure optimized by DFT (GGA-PBE)
Peak positions follow from Bragg's law for the DFT cell and can differ from measured ones.

Most intense lines, 10 to 80 degrees two-theta, low angle first:
- 26.08 deg, intensity 17, hkl 2 0 0
- 32.32 deg, intensity 79, hkl 2 2 0
- 32.79 deg, intensity 100, hkl 0 3 1
- 42.37 deg, intensity 28, hkl 2 3 1
- 46.71 deg, intensity 28, hkl 2 4 0
- 58.24 deg, intensity 29, hkl 2 4 2
- 58.54 deg, intensity 19, hkl 0 6 0
- 64.32 deg, intensity 29, hkl 4 3 1

Atomic structure:
Cell: 6.8328 9.4600 5.4626 Å, 90.00 90.00 90.00°
Space group Pnnm (No. 58)
One atom of each set of equivalent atoms:
Dy 0.0000 0.0000 0.0000
Er 0.2469 0.3346 0.0000
Tm 0.2486 0.6678 0.0000
Sc 0.0000 0.5000 0.5000

=====

3.
Theoretical powder XRD pattern
Compound: Dy6ErTm2Sc
Radiation: copper Kα
Structure: a structure optimized by DFT (GGA-PBE)
Peak positions follow from Bragg's law for the DFT cell and can differ from measured ones.

Most intense lines, 10 to 80 degrees two-theta, low angle first:
- 28.61 deg, intensity 19, hkl 2 2 -2
- 29.16 deg, intensity 42, hkl 1 3 2
- 31.01 deg, intensity 58, hkl 3 1 -1
- 31.34 deg, intensity 39, hkl 0 2 3
- 31.98 deg, intensity 100, hkl 2 2 2
- 32.20 deg, intensity 34, hkl 2 4 -1
- 33.06 deg, intensity 23, hkl 1 5 -1
- 34.63 deg, intensity 37, hkl 1 3 -3

Atomic structure:
Cell: 8.9849 14.7367 9.3656 Å, 90.00 97.41 90.00°
Space group C2/c (No. 15)
One atom of each set of equivalent atoms:
Dy 0.0605 0.1852 0.4454
Dy 0.1006 0.3935 0.6170
Dy 0.2144 0.2213 0.8113
Er 0.0000 0.0229 0.7500
Tm 0.2481 0.4486 0.9531
Sc 0.0000 0.4129 0.2500

=====

4.
Theoretical powder XRD pattern
Compound: Dy4Er2TmSc
Radiation: copper Kα
Structure: a structure optimized by DFT (GGA-PBE)
Peak positions follow from Bragg's law for the DFT cell and can differ from measured ones.

Most intense lines, 10 to 80 degrees two-theta, low angle first:
- 31.39 deg, intensity 100, hkl 1 1 2
- 36.33 deg, intensity 34, hkl 2 0 0
- 36.54 deg, intensity 17, hkl 0 0 4
- 52.32 deg, intensity 12, hkl 2 2 0
- 52.48 deg, intensity 24, hkl 2 0 4
- 62.30 deg, intensity 28, hkl 3 1 2
- 62.58 deg, intensity 14, hkl 1 1 6
- 65.50 deg, intensity 12, hkl 2 2 4

Atomic structure:
Cell: 4.9458 4.9458 9.8362 Å, 90.00 90.00 90.00°
Space group P4/mmm (No. 123)
One atom of each set of equivalent atoms:
Dy 0.0000 0.5000 0.2460
Er 0.0000 0.0000 0.0000
Er 0.5000 0.5000 0.5000
Tm 0.0000 0.0000 0.5000
Sc 0.5000 0.5000 0.0000

=====

5.
Theoretical powder XRD pattern
Compound: DyEr2TmSc4
Radiation: copper Kα
Structure: a structure optimized by DFT (GGA-PBE)
Peak positions follow from Bragg's law for the DFT cell and can differ from measured ones.

Most intense lines, 10 to 80 degrees two-theta, low angle first:
- 21.20 deg, intensity 58, hkl 2 2 0
- 28.28 deg, intensity 46, hkl 0 4 0
- 31.00 deg, intensity 23, hkl 2 2 -2
- 31.90 deg, intensity 100, hkl 4 0 0
- 43.15 deg, intensity 86, hkl 4 4 0
- 45.11 deg, intensity 17, hkl 2 2 2
- 64.73 deg, intensity 17, hkl 4 4 2
- 68.19 deg, intensity 22, hkl 4 8 0

Atomic structure:
Cell: 12.9478 12.6232 6.4872 Å, 90.00 120.06 90.00°
Space group C2/c (No. 15)
One atom of each set of equivalent atoms:
Dy 0.0000 0.0000 0.0000
Er 0.0000 0.5000 0.0000
Er 0.2500 0.2500 0.0000
Tm 0.2500 0.2500 0.5000
Sc 0.0000 0.2510 0.0003
Sc 0.2491 0.4995 0.4965

=====

6.
Theoretical powder XRD pattern
Compound: DyY2Er6Sc3
Radiation: copper Kα
Structure: a structure optimized by DFT (GGA-PBE)
Peak positions follow from Bragg's law for the DFT cell and can differ from measured ones.

Most intense lines, 10 to 80 degrees two-theta, low angle first:
- 15.75 deg, intensity 20, hkl 0 0 2
- 31.61 deg, intensity 100, hkl 1 3 1
- 31.82 deg, intensity 32, hkl 0 0 4
- 36.72 deg, intensity 66, hkl 2 0 2
- 52.77 deg, intensity 23, hkl 0 6 0
- 53.04 deg, intensity 21, hkl 1 3 5
- 62.88 deg, intensity 18, hkl 2 6 -2
- 62.96 deg, intensity 18, hkl 0 6 4

Atomic structure:
Cell: 6.0123 10.4042 11.4267 Å, 90.00 100.08 90.00°
Space group C2/m (No. 12)
One atom of each set of equivalent atoms:
Dy 0.0000 0.0000 0.0000
Y 0.0000 0.3333 0.0000
Er 0.2460 0.0000 0.7403
Er 0.2469 0.3336 0.7402
Sc 0.0000 0.1667 0.5000
Sc 0.0000 0.5000 0.5000

=====

7.
Theoretical powder XRD pattern
Compound: Dy4Y2ErSc
Radiation: copper Kα
Structure: a structure optimized by DFT (GGA-PBE)
Peak positions follow from Bragg's law for the DFT cell and can differ from measured ones.

Most intense lines, 10 to 80 degrees two-theta, low angle first:
- 17.89 deg, intensity 8, hkl 0 0 2
- 25.36 deg, intensity 7, hkl 1 1 0
- 31.21 deg, intensity 100, hkl 1 1 2
- 36.19 deg, intensity 50, hkl 2 0 0
- 52.12 deg, intensity 35, hkl 2 2 0
- 61.97 deg, intensity 28, hkl 3 1 2
- 62.09 deg, intensity 14, hkl 1 1 6
- 65.10 deg, intensity 12, hkl 2 2 4

Atomic structure:
Cell: 4.9679 4.9679 9.9107 Å, 90.00 90.00 90.00°
Space group P4/mmm (No. 123)
One atom of each set of equivalent atoms:
Dy 0.0000 0.5000 0.2459
Y 0.0000 0.0000 0.0000
Y 0.5000 0.5000 0.5000
Er 0.0000 0.0000 0.5000
Sc 0.5000 0.5000 0.0000

=====

8.
Theoretical powder XRD pattern
Compound: Dy2Y3Er6Sc
Radiation: copper Kα
Structure: a structure optimized by DFT (GGA-PBE)
Peak positions follow from Bragg's law for the DFT cell and can differ from measured ones.

Most intense lines, 10 to 80 degrees two-theta, low angle first:
- 15.46 deg, intensity 6, hkl 0 0 2
- 31.23 deg, intensity 100, hkl 1 3 1
- 36.21 deg, intensity 50, hkl 2 0 2
- 52.14 deg, intensity 35, hkl 0 6 0
- 62.01 deg, intensity 14, hkl 4 0 0
- 62.06 deg, intensity 28, hkl 2 6 -2
- 65.13 deg, intensity 12, hkl 2 6 2
- 76.86 deg, intensity 6, hkl 2 6 -6

Atomic structure:
Cell: 6.0785 10.5168 11.6390 Å, 90.00 99.99 90.00°
Space group C2/m (No. 12)
One atom of each set of equivalent atoms:
Dy 0.0000 0.1666 0.0000
Y 0.0000 0.0000 0.5000
Y 0.0000 0.3336 0.5000
Er 0.2471 0.3344 0.2464
Er 0.2505 0.0000 0.2466
Sc 0.0000 0.5000 0.0000

=====

9.
Theoretical powder XRD pattern
Compound: Dy6YEr3Sc2
Radiation: copper Kα
Structure: a structure optimized by DFT (GGA-PBE)
Peak positions follow from Bragg's law for the DFT cell and can differ from measured ones.

Most intense lines, 10 to 80 degrees two-theta, low angle first:
- 31.37 deg, intensity 100, hkl 1 3 1
- 31.53 deg, intensity 33, hkl 0 0 4
- 36.43 deg, intensity 67, hkl 2 0 2
- 52.36 deg, intensity 24, hkl 0 6 0
- 52.57 deg, intensity 23, hkl 1 3 5
- 62.32 deg, intensity 14, hkl 4 0 0
- 62.42 deg, intensity 28, hkl 3 3 3
- 62.60 deg, intensity 14, hkl 2 0 6

Atomic structure:
Cell: 6.0560 10.4781 11.5278 Å, 90.00 100.05 90.00°
Space group C2/m (No. 12)
One atom of each set of equivalent atoms:
Dy 0.2458 0.0000 0.2459
Dy 0.2493 0.1683 0.7542
Y 0.0000 0.5000 0.0000
Er 0.0000 0.0000 0.5000
Er 0.0000 0.3332 0.5000
Sc 0.0000 0.1666 0.0000

=====

10.
Theoretical powder XRD pattern
Compound: Dy4ErSe7
Radiation: copper Kα
Structure: a structure optimized by DFT (GGA-PBE)
Peak positions follow from Bragg's law for the DFT cell and can differ from measured ones.

Most intense lines, 10 to 80 degrees two-theta, low angle first:
- 22.80 deg, intensity 92, hkl 2 0 2
- 23.37 deg, intensity 73, hkl 2 0 -3
- 30.29 deg, intensity 78, hkl 3 1 -1
- 31.84 deg, intensity 100, hkl 3 1 -2
- 32.85 deg, intensity 75, hkl 3 1 1
- 37.24 deg, intensity 50, hkl 1 1 -4
- 40.11 deg, intensity 53, hkl 1 1 4
- 45.80 deg, intensity 59, hkl 0 2 0

Atomic structure:
Cell: 13.3589 3.9620 12.1772 Å, 90.00 104.46 90.00°
Space group Cm (No. 8)
One atom of each set of equivalent atoms:
Dy 0.0000 0.0000 0.0000
Dy 0.0877 0.5000 0.3895
Dy 0.1873 0.0000 0.7655
Dy 0.3873 0.5000 0.5767
Er 0.2745 0.5000 0.1551
Se 0.0473 0.5000 0.6277
Se 0.1296 0.5000 0.9305
Se 0.1474 0.0000 0.2251
Se 0.2274 0.0000 0.5270
Se 0.3478 0.5000 0.7928
Se 0.3862 0.0000 0.0780
Se 0.4267 0.5000 0.3605

=====

11.
Theoretical powder XRD pattern
Compound: Dy4ErSe5
Radiation: copper Kα
Structure: a structure optimized by DFT (GGA-PBE)
Peak positions follow from Bragg's law for the DFT cell and can differ from measured ones.

Most intense lines, 10 to 80 degrees two-theta, low angle first:
- 26.84 deg, intensity 32, hkl 1 0 5
- 30.97 deg, intensity 50, hkl 0 0 10
- 31.15 deg, intensity 100, hkl 1 1 0
- 44.50 deg, intensity 73, hkl 1 1 10
- 44.64 deg, intensity 37, hkl 2 0 0
- 55.32 deg, intensity 38, hkl 2 0 10
- 73.41 deg, intensity 15, hkl 1 1 20
- 73.76 deg, intensity 33, hkl 3 1 0

Atomic structure:
Cell: 4.0601 4.0601 28.8733 Å, 90.00 90.00 90.00°
Space group I4/mmm (No. 139)
One atom of each set of equivalent atoms:
Dy 0.0000 0.0000 0.1020
Dy 0.0000 0.0000 0.3037
Er 0.0000 0.0000 0.5000
Se 0.0000 0.0000 0.0000
Se 0.0000 0.0000 0.2022
Se 0.0000 0.0000 0.4021

=====

12.
Theoretical powder XRD pattern
Compound: Sm2DyErSe5
Radiation: copper Kα
Structure: a structure optimized by DFT (GGA-PBE)
Peak positions follow from Bragg's law for the DFT cell and can differ from measured ones.

Most intense lines, 10 to 80 degrees two-theta, low angle first:
- 24.07 deg, intensity 26, hkl 1 0 2
- 24.65 deg, intensity 100, hkl 1 1 0
- 30.55 deg, intensity 36, hkl 1 0 3
- 35.14 deg, intensity 84, hkl 2 0 0
- 35.35 deg, intensity 43, hkl 1 1 3
- 37.93 deg, intensity 35, hkl 1 0 4
- 50.54 deg, intensity 30, hkl 2 2 0
- 52.66 deg, intensity 28, hkl 2 1 4

Atomic structure:
Cell: 5.1083 5.1083 10.7125 Å, 90.00 90.00 90.00°
Space group P4/mmm (No. 123)
One atom of each set of equivalent atoms:
Sm 0.0000 0.0000 0.1717
Dy 0.5000 0.5000 0.5000
Er 0.5000 0.5000 0.0000
Se 0.0000 0.0000 0.5000
Se 0.0000 0.5000 0.0000
Se 0.5000 0.5000 0.2533

=====

13.
Theoretical powder XRD pattern
Compound: SmDy3Er2Se6
Radiation: copper Kα
Structure: a structure optimized by DFT (GGA-PBE)
Peak positions follow from Bragg's law for the DFT cell and can differ from measured ones.

Most intense lines, 10 to 80 degrees two-theta, low angle first:
- 26.74 deg, intensity 16, hkl 0 0 2
- 31.01 deg, intensity 100, hkl 2 0 -2
- 44.35 deg, intensity 37, hkl 1 3 -3
- 44.51 deg, intensity 37, hkl 2 0 2
- 55.10 deg, intensity 19, hkl 0 0 4
- 55.38 deg, intensity 6, hkl 4 0 0
- 64.60 deg, intensity 8, hkl 2 6 2
- 73.44 deg, intensity 11, hkl 3 3 -5

Atomic structure:
Cell: 7.0380 12.2635 7.0701 Å, 90.00 109.45 90.00°
Space group C2/m (No. 12)
One atom of each set of equivalent atoms:
Sm 0.0000 0.0000 0.0000
Dy 0.0000 0.1603 0.5000
Dy 0.0000 0.5000 0.5000
Er 0.0000 0.3345 0.0000
Se 0.2407 0.5000 0.2473
Se 0.2452 0.3287 0.7480